1.
For La4Pr4Sm3, a crystal structure in Alexandria, relaxed with GGA-PBE gives the computed powder diffraction line list in this record (copper Kα).
Peak positions follow from Bragg's law for the DFT cell and can differ from measured ones.

Top 12 peaks for 10° ≤ 2θ ≤ 80°, by intensity:
2.866 Å, I 100; 2.951 Å, I 58; 3.014 Å, I 37; 1.527 Å, I 30; 1.686 Å, I 21; 2.744 Å, I 14; 2.087 Å, I 13; 1.785 Å, I 12; 2.009 Å, I 11; 1.681 Å, I 8; 1.232 Å, I 7; 1.270 Å, I 7

Structural model:
```
data_La4Pr4Sm3
_cell_length_a 10.9761
_cell_length_b 5.8977
_cell_length_c 12.2730
_cell_angle_alpha 90.00
_cell_angle_beta 90.00
_cell_angle_gamma 90.00
_symmetry_space_group_name_H-M 'A m m 2'
_symmetry_Int_Tables_number 38
loop_
_symmetry_equiv_pos_as_xyz
'x,y,z'
'-x,-y,z'
'-x,y,z'
'x,-y,z'
'x,y+1/2,z+1/2'
'-x,-y+1/2,z+1/2'
'-x,y+1/2,z+1/2'
'x,-y+1/2,z+1/2'
loop_
_atom_site_label
_atom_site_fract_x
_atom_site_fract_y
_atom_site_fract_z
_atom_site_occupancy
La1 0.0000 0.0000 0.0000 1
La2 0.2023 0.0000 0.8060 1
La3 0.5000 0.0000 0.9325 1
Pr1 0.0000 0.0000 0.5915 1
Pr2 0.3023 0.0000 0.1515 1
Pr3 0.5000 0.0000 0.6533 1
Sm1 0.0000 0.0000 0.2967 1
Sm2 0.2938 0.0000 0.4532 1
```

***

2.
For La8PrSm2, a crystal structure in Alexandria, relaxed with GGA-PBE gives the computed powder diffraction line list in this record (copper Kα).
Peak positions follow from Bragg's law for the DFT cell and can differ from measured ones.

Top 12 peaks for 10° ≤ 2θ ≤ 80°, by intensity:
2.954 Å, I 100; 2.801 Å, I 88; 2.910 Å, I 82; 1.509 Å, I 26; 1.652 Å, I 21; 1.646 Å, I 18; 1.982 Å, I 16; 1.979 Å, I 16; 2.180 Å, I 15; 1.721 Å, I 14; 3.360 Å, I 13; 1.477 Å, I 12

Structural model:
```
data_La8PrSm2
_cell_length_a 10.5337
_cell_length_b 13.8998
_cell_length_c 5.6067
_cell_angle_alpha 90.00
_cell_angle_beta 90.14
_cell_angle_gamma 90.00
_symmetry_space_group_name_H-M 'C 1 2/m 1'
_symmetry_Int_Tables_number 12
loop_
_symmetry_equiv_pos_as_xyz
'x,y,z'
'-x,-y,-z'
'-x,y,-z'
'x,-y,z'
'x+1/2,y+1/2,z'
'-x+1/2,-y+1/2,-z'
'-x+1/2,y+1/2,-z'
'x+1/2,-y+1/2,z'
loop_
_atom_site_label
_atom_site_fract_x
_atom_site_fract_y
_atom_site_fract_z
_atom_site_occupancy
La1 0.0000 0.2436 0.0000 1
La2 0.1651 0.3663 0.5007 1
La3 0.1664 0.0000 0.9996 1
Pr1 0.0000 0.5000 0.0000 1
Sm1 0.0000 0.1179 0.5000 1
```

***

3.
For La4Pr8Sm, a crystal structure in Alexandria, relaxed with GGA-PBE gives the computed powder diffraction line list in this record (copper Kα).
Peak positions follow from Bragg's law for the DFT cell and can differ from measured ones.

Top 12 peaks for 10° ≤ 2θ ≤ 80°, by intensity:
2.998 Å, I 100; 2.391 Å, I 46; 3.964 Å, I 29; 1.731 Å, I 20; 3.306 Å, I 18; 1.653 Å, I 17; 1.586 Å, I 13; 1.499 Å, I 12; 2.370 Å, I 10; 2.607 Å, I 9; 2.858 Å, I 9; 1.402 Å, I 8

Structural model:
```
data_La4Pr8Sm
_cell_length_a 11.9907
_cell_length_b 11.9907
_cell_length_c 11.8913
_cell_angle_alpha 90.00
_cell_angle_beta 90.00
_cell_angle_gamma 120.00
_symmetry_space_group_name_H-M 'R -3 m'
_symmetry_Int_Tables_number 166
_symmetry_space_group_name_Hall '-R 3 2"'
loop_
_atom_site_label
_atom_site_fract_x
_atom_site_fract_y
_atom_site_fract_z
_atom_site_occupancy
La1 0.0000 0.0000 0.0000 1
La2 0.0000 0.5000 0.0000 1
Pr1 0.0000 0.0000 0.2408 1
Pr2 0.0034 0.5017 0.6656 1
Sm1 0.0000 0.0000 0.5000 1
```

***

4.
For La3Pr7Sm, a crystal structure in Alexandria, relaxed with GGA-PBE gives the computed powder diffraction line list in this record (copper Kα).
Peak positions follow from Bragg's law for the DFT cell and can differ from measured ones.

Top 12 peaks for 10° ≤ 2θ ≤ 80°, by intensity:
2.845 Å, I 100; 3.037 Å, I 53; 2.839 Å, I 31; 1.714 Å, I 22; 2.887 Å, I 22; 2.914 Å, I 20; 2.093 Å, I 18; 2.103 Å, I 16; 3.683 Å, I 13; 1.547 Å, I 13; 1.536 Å, I 13; 3.655 Å, I 11

Structural model:
```
data_La3Pr7Sm
_cell_length_a 13.1369
_cell_length_b 11.5484
_cell_length_c 6.0743
_cell_angle_alpha 90.00
_cell_angle_beta 117.46
_cell_angle_gamma 90.00
_symmetry_space_group_name_H-M 'C 1 2/m 1'
_symmetry_Int_Tables_number 12
loop_
_symmetry_equiv_pos_as_xyz
'x,y,z'
'-x,-y,-z'
'-x,y,-z'
'x,-y,z'
'x+1/2,y+1/2,z'
'-x+1/2,-y+1/2,-z'
'-x+1/2,y+1/2,-z'
'x+1/2,-y+1/2,z'
loop_
_atom_site_label
_atom_site_fract_x
_atom_site_fract_y
_atom_site_fract_z
_atom_site_occupancy
La1 0.0000 0.0000 0.0000 1
La2 0.0000 0.2107 0.5000 1
Pr1 0.0000 0.5000 0.5000 1
Pr2 0.2000 0.2028 0.1999 1
Pr3 0.2084 0.0000 0.7077 1
Sm1 0.0000 0.5000 0.0000 1
```

***

5.
For La3PrSm7, a crystal structure in Alexandria, relaxed with GGA-PBE gives the computed powder diffraction line list in this record (copper Kα).
Peak positions follow from Bragg's law for the DFT cell and can differ from measured ones.

Top 12 peaks for 10° ≤ 2θ ≤ 80°, by intensity:
2.810 Å, I 100; 3.003 Å, I 40; 2.866 Å, I 32; 2.073 Å, I 25; 1.694 Å, I 22; 1.523 Å, I 19; 3.626 Å, I 18; 3.224 Å, I 14; 2.313 Å, I 11; 1.427 Å, I 10; 1.621 Å, I 8; 1.645 Å, I 8

Structural model:
```
data_La3PrSm7
_cell_length_a 12.9401
_cell_length_b 11.4609
_cell_length_c 6.0062
_cell_angle_alpha 90.00
_cell_angle_beta 117.59
_cell_angle_gamma 90.00
_symmetry_space_group_name_H-M 'C 1 2/m 1'
_symmetry_Int_Tables_number 12
loop_
_symmetry_equiv_pos_as_xyz
'x,y,z'
'-x,-y,-z'
'-x,y,-z'
'x,-y,z'
'x+1/2,y+1/2,z'
'-x+1/2,-y+1/2,-z'
'-x+1/2,y+1/2,-z'
'x+1/2,-y+1/2,z'
loop_
_atom_site_label
_atom_site_fract_x
_atom_site_fract_y
_atom_site_fract_z
_atom_site_occupancy
La1 0.0000 0.0000 0.0000 1
La2 0.0000 0.2117 0.5000 1
Pr1 0.0000 0.5000 0.0000 1
Sm1 0.0000 0.5000 0.5000 1
Sm2 0.2046 0.1986 0.2051 1
Sm3 0.2065 0.0000 0.7067 1
```

***

6.
For La5Pr4Sm4, a crystal structure in Alexandria, relaxed with GGA-PBE gives the computed powder diffraction line list in this record (copper Kα).
Peak positions follow from Bragg's law for the DFT cell and can differ from measured ones.

Top 12 peaks for 10° ≤ 2θ ≤ 80°, by intensity:
3.022 Å, I 100; 2.622 Å, I 34; 1.581 Å, I 29; 1.849 Å, I 24; 2.607 Å, I 17; 1.574 Å, I 14; 1.511 Å, I 13; 1.854 Å, I 12; 1.200 Å, I 12; 1.203 Å, I 6; 1.312 Å, I 2; 1.310 Å, I 2

Structural model:
```
data_La5Pr4Sm4
_cell_length_a 18.9003
_cell_length_b 5.2141
_cell_length_c 13.3628
_cell_angle_alpha 90.00
_cell_angle_beta 134.93
_cell_angle_gamma 90.00
_symmetry_space_group_name_H-M 'C 1 2/m 1'
_symmetry_Int_Tables_number 12
loop_
_symmetry_equiv_pos_as_xyz
'x,y,z'
'-x,-y,-z'
'-x,y,-z'
'x,-y,z'
'x+1/2,y+1/2,z'
'-x+1/2,-y+1/2,-z'
'-x+1/2,y+1/2,-z'
'x+1/2,-y+1/2,z'
loop_
_atom_site_label
_atom_site_fract_x
_atom_site_fract_y
_atom_site_fract_z
_atom_site_occupancy
La1 0.0000 0.0000 0.0000 1
La2 0.0394 0.5000 0.8479 1
La3 0.1913 0.5000 0.2307 1
Pr1 0.0770 0.0000 0.6929 1
Pr2 0.1158 0.5000 0.5388 1
Sm1 0.1546 0.0000 0.3870 1
Sm2 0.2325 0.0000 0.0779 1
```

***

7.
For La6Pr16Sm7, a crystal structure in Alexandria, relaxed with GGA-PBE gives the computed powder diffraction line list in this record (copper Kα).
Peak positions follow from Bragg's law for the DFT cell and can differ from measured ones.

Top 12 peaks for 10° ≤ 2θ ≤ 80°, by intensity:
2.874 Å, I 100; 3.128 Å, I 23; 1.659 Å, I 21; 2.032 Å, I 12; 2.116 Å, I 9; 1.571 Å, I 8; 3.318 Å, I 8; 1.634 Å, I 8; 1.215 Å, I 8; 2.748 Å, I 8; 1.784 Å, I 7; 2.709 Å, I 7

Structural model:
```
data_La6Pr16Sm7
_cell_length_a 16.2557
_cell_length_b 16.2557
_cell_length_c 16.2557
_cell_angle_alpha 90.00
_cell_angle_beta 90.00
_cell_angle_gamma 90.00
_symmetry_space_group_name_H-M 'F m -3 m'
_symmetry_Int_Tables_number 225
_symmetry_space_group_name_Hall '-F 4 2 3'
loop_
_atom_site_label
_atom_site_fract_x
_atom_site_fract_y
_atom_site_fract_z
_atom_site_occupancy
La1 0.0000 0.0000 0.2142 1
Pr1 0.1241 0.1241 0.3759 1
Pr2 0.1542 0.1542 0.1542 1
Sm1 0.0000 0.0000 0.5000 1
Sm2 0.0000 0.2500 0.2500 1
```

***

8.
For LaTb4PrSm2, a crystal structure in Alexandria, relaxed with GGA-PBE gives the computed powder diffraction line list in this record (copper Kα).
Peak positions follow from Bragg's law for the DFT cell and can differ from measured ones.

Top 12 peaks for 10° ≤ 2θ ≤ 80°, by intensity:
2.957 Å, I 100; 2.578 Å, I 17; 2.567 Å, I 17; 2.538 Å, I 16; 1.552 Å, I 15; 1.547 Å, I 14; 1.534 Å, I 14; 1.478 Å, I 12; 1.819 Å, I 12; 1.809 Å, I 12; 1.805 Å, I 12; 1.289 Å, I 2

Structural model:
```
data_LaTb4PrSm2
_cell_length_a 7.2722
_cell_length_b 7.2795
_cell_length_c 10.1516
_cell_angle_alpha 90.01
_cell_angle_beta 90.04
_cell_angle_gamma 90.26
_symmetry_space_group_name_H-M 'P 1'
_symmetry_Int_Tables_number 1
loop_
_symmetry_equiv_pos_as_xyz
'x,y,z'
loop_
_atom_site_label
_atom_site_fract_x
_atom_site_fract_y
_atom_site_fract_z
_atom_site_occupancy
La1 0.0000 0.0000 0.0000 1
La2 0.9996 0.5001 0.0000 1
Tb1 0.2520 0.2490 0.2520 1
Tb2 0.2518 0.2488 0.7479 1
Tb3 0.2521 0.7515 0.2521 1
Tb4 0.2518 0.7513 0.7478 1
Tb5 0.7480 0.2487 0.2522 1
Tb6 0.7480 0.2489 0.7477 1
Tb7 0.7481 0.7512 0.2523 1
Tb8 0.7481 0.7514 0.7476 1
Pr1 0.0003 0.5001 0.4999 1
Pr2 0.4999 0.5002 0.9999 1
Sm1 0.0000 0.0002 0.4999 1
Sm2 0.5003 0.0001 0.9999 1
Sm3 0.4997 0.0001 0.5000 1
Sm4 0.5000 0.5000 0.5000 1
```